[1]
Theoretical PXRD pattern of DyNi2Te for Cu Ka, from DFT lattice parameters and positions (GGA-PBE).

Main lines, sorted by position (2θ = 10–90°):
- 30.46°, rel. 60
- 33.04°, rel. 33
- 35.70°, rel. 69
- 35.95°, rel. 100
- 39.63°, rel. 34
- 41.93°, rel. 99
- 43.31°, rel. 49
- 57.33°, rel. 35

Cell and atoms:
Unit cell a=4.179 b=6.232 c=5.497 alpha=90.00 beta=90.00 gamma=90.00
Element x y z (fractional)
Dy 0.000 0.086 0.000
Dy 0.500 0.914 0.500
Ni 0.000 0.253 0.495
Ni 0.000 0.657 0.731
Ni 0.500 0.343 0.231
Ni 0.500 0.747 0.995
Te 0.000 0.613 0.228
Te 0.500 0.387 0.728

---

[2]
Theoretical PXRD pattern of DyTm6Ni2Te2 for Cu Ka, from DFT lattice parameters and positions (GGA-PBE).

Main lines, sorted by position (2θ = 10–90°):
- 29.13°, rel. 23
- 30.63°, rel. 51
- 33.32°, rel. 82
- 34.39°, rel. 100
- 34.89°, rel. 77
- 36.95°, rel. 22
- 47.61°, rel. 30
- 59.35°, rel. 32

Cell and atoms:
Unit cell a=9.243 b=9.243 c=9.243 alpha=156.15 beta=67.04 gamma=118.40
Element x y z (fractional)
Dy 0.000 0.000 0.000
Tm 0.063 0.378 0.685
Tm 0.082 0.730 0.352
Tm 0.378 0.730 0.648
Tm 0.448 0.581 0.867
Tm 0.693 0.378 0.315
Tm 0.715 0.581 0.133
Ni 0.310 0.071 0.238
Ni 0.833 0.071 0.762
Te 0.336 0.336 0.000
Te 0.733 0.233 0.500

---

[3]
Theoretical PXRD pattern of Dy6TmNi2Te2 for Cu Ka, from DFT lattice parameters and positions (GGA-PBE).

Main lines, sorted by position (2θ = 10–90°):
- 30.44°, rel. 51
- 33.02°, rel. 79
- 34.03°, rel. 100
- 34.38°, rel. 24
- 34.58°, rel. 49
- 47.33°, rel. 29
- 51.01°, rel. 23
- 58.92°, rel. 30

Cell and atoms:
Unit cell a=9.360 b=9.360 c=9.360 alpha=156.32 beta=66.55 gamma=118.82
Element x y z (fractional)
Dy 0.113 0.798 0.316
Dy 0.132 0.000 0.132
Dy 0.482 0.798 0.684
Dy 0.502 0.150 0.353
Dy 0.797 0.150 0.647
Dy 0.868 0.000 0.868
Tm 0.419 0.419 0.000
Ni 0.251 0.490 0.762
Ni 0.728 0.490 0.238
Te 0.153 0.653 0.500
Te 0.754 0.754 0.000

---

[4]
Theoretical PXRD pattern of Dy2Tm5Ni2Te2 for Cu Ka, from DFT lattice parameters and positions (GGA-PBE).

Main lines, sorted by position (2θ = 10–90°):
- 29.09°, rel. 25
- 30.55°, rel. 52
- 33.15°, rel. 82
- 34.31°, rel. 100
- 34.79°, rel. 74
- 47.59°, rel. 30
- 51.52°, rel. 28
- 59.24°, rel. 38

Cell and atoms:
Unit cell a=9.279 b=9.279 c=9.279 alpha=156.23 beta=67.11 gamma=118.28
Element x y z (fractional)
Dy 0.133 0.000 0.133
Dy 0.867 0.000 0.867
Tm 0.114 0.799 0.315
Tm 0.420 0.420 0.000
Tm 0.483 0.799 0.685
Tm 0.500 0.147 0.352
Tm 0.795 0.147 0.648
Ni 0.254 0.491 0.764
Ni 0.727 0.491 0.236
Te 0.156 0.656 0.500
Te 0.752 0.752 0.000

---

[5]
Theoretical PXRD pattern of Dy2Y2Tm3Ni2Te2 for Cu Ka, from DFT lattice parameters and positions (GGA-PBE).

Main lines, sorted by position (2θ = 10–90°):
- 25.03°, rel. 23
- 30.27°, rel. 29
- 30.48°, rel. 50
- 33.10°, rel. 79
- 34.19°, rel. 100
- 34.67°, rel. 89
- 47.40°, rel. 34
- 59.04°, rel. 30

Cell and atoms:
Unit cell a=9.307 b=9.307 c=9.307 alpha=156.22 beta=66.95 gamma=118.45
Element x y z (fractional)
Dy 0.133 0.000 0.133
Dy 0.867 0.000 0.867
Y 0.206 0.852 0.354
Y 0.498 0.852 0.646
Tm 0.518 0.202 0.315
Tm 0.583 0.583 0.000
Tm 0.887 0.202 0.685
Ni 0.275 0.513 0.762
Ni 0.751 0.513 0.238
Te 0.247 0.247 0.000
Te 0.845 0.345 0.500

---

[6]
Theoretical PXRD pattern of DyY4Tm2Ni2Te2 for Cu Ka, from DFT lattice parameters and positions (GGA-PBE).

Main lines, sorted by position (2θ = 10–90°):
- 28.89°, rel. 28
- 30.32°, rel. 53
- 32.86°, rel. 67
- 34.06°, rel. 100
- 34.52°, rel. 46
- 47.27°, rel. 25
- 51.11°, rel. 30
- 58.75°, rel. 31

Cell and atoms:
Unit cell a=9.351 b=9.351 c=9.351 alpha=156.27 beta=67.19 gamma=118.18
Element x y z (fractional)
Dy 0.000 0.000 0.000
Y 0.289 0.420 0.869
Y 0.307 0.621 0.685
Y 0.551 0.420 0.131
Y 0.936 0.621 0.315
Tm 0.626 0.273 0.353
Tm 0.920 0.273 0.647
Ni 0.162 0.926 0.236
Ni 0.690 0.926 0.764
Te 0.264 0.764 0.500
Te 0.667 0.667 0.000

---

[7]
Theoretical PXRD pattern of Dy3Y2Tm2Ni2Te2 for Cu Ka, from DFT lattice parameters and positions (GGA-PBE).

Main lines, sorted by position (2θ = 10–90°):
- 30.36°, rel. 49
- 32.89°, rel. 62
- 34.07°, rel. 100
- 34.52°, rel. 49
- 44.94°, rel. 15
- 47.32°, rel. 23
- 51.10°, rel. 24
- 58.82°, rel. 30

Cell and atoms:
Unit cell a=9.354 b=9.354 c=9.354 alpha=156.30 beta=67.04 gamma=118.32
Element x y z (fractional)
Dy 0.000 0.000 0.000
Dy 0.287 0.420 0.867
Dy 0.552 0.420 0.133
Y 0.307 0.622 0.685
Y 0.937 0.622 0.315
Tm 0.625 0.272 0.353
Tm 0.919 0.272 0.647
Ni 0.164 0.926 0.238
Ni 0.689 0.926 0.762
Te 0.265 0.765 0.500
Te 0.667 0.667 0.000

---

[8]
Theoretical PXRD pattern of Dy2YTm4Ni2Te2 for Cu Ka, from DFT lattice parameters and positions (GGA-PBE).

Main lines, sorted by position (2θ = 10–90°):
- 25.03°, rel. 27
- 30.52°, rel. 43
- 33.23°, rel. 83
- 34.22°, rel. 100
- 34.73°, rel. 86
- 47.37°, rel. 30
- 51.38°, rel. 23
- 59.09°, rel. 32

Cell and atoms:
Unit cell a=9.283 b=9.283 c=9.283 alpha=156.14 beta=66.86 gamma=118.58
Element x y z (fractional)
Dy 0.148 0.000 0.148
Dy 0.852 0.000 0.852
Y 0.231 0.731 0.500
Tm 0.166 0.351 0.815
Tm 0.515 0.148 0.367
Tm 0.537 0.351 0.185
Tm 0.782 0.148 0.633
Ni 0.399 0.660 0.739
Ni 0.921 0.660 0.261
Te 0.497 0.497 0.000
Te 0.893 0.393 0.500